Record 1
Structure and theoretical PXRD pattern of Rb3H5Pt (a PBE-relaxed structure; Cu Ka).
Intensities are scaled so that the largest is 100.

Atomic structure:
Cell lengths 7.7382, 7.7382, 5.9533 Å; angles 90.00, 90.00, 90.00 degrees
Space group P4/mbm (No. 127)
Symmetry-distinct sites (fractional):
Rb1 0.0000 0.0000 0.0000
Rb2 0.1847 0.3153 0.5000
H1 0.0000 0.0000 0.5000
H2 0.1089 0.6089 0.1950
Pt1 0.0000 0.5000 0.0000

Principal peaks in the range 10 to 90 degrees two-theta, by angle:
d 5.472, 16.20°, I = 20, (1 1 0); d 3.869, 22.99°, I = 13, (2 0 0); d 3.244, 27.49°, I = 100, (2 0 1); d 2.992, 29.86°, I = 14, (2 1 1); d 2.977, 30.02°, I = 26, (0 0 2); d 2.736, 32.73°, I = 26, (2 2 0); d 2.263, 39.83°, I = 14, (3 1 1); d 2.014, 45.00°, I = 22, (2 2 2); d 1.766, 51.77°, I = 17, (2 0 3); d 1.662, 55.29°, I = 13, (4 2 1)

Record 2
Structure and theoretical PXRD pattern of Rb5H8Pt (a PBE-relaxed structure; Cu Ka).
Intensities are scaled so that the largest is 100.

Atomic structure:
Cell lengths 8.3869, 8.3869, 8.7334 Å; angles 90.00, 90.00, 90.00 degrees
Space group I-4 (No. 82)
Symmetry-distinct sites (fractional):
Rb1 0.0000 0.0000 0.0000
Rb2 0.1309 0.7113 0.5724
H1 0.0021 0.6996 0.2512
H2 0.1053 0.7017 0.8912
Pt1 0.0000 0.5000 0.2500

Principal peaks in the range 10 to 90 degrees two-theta, by angle:
d 6.049, 14.64°, I = 22, (1 0 1); d 5.930, 14.94°, I = 19, (1 1 0); d 3.516, 25.33°, I = 39, (1 1 2); d 3.446, 25.85°, I = 100, (1 2 1); d 3.025, 29.53°, I = 15, (2 0 2); d 2.750, 32.56°, I = 28, (1 0 3); d 2.663, 33.66°, I = 20, (3 0 1); d 2.267, 39.76°, I = 33, (3 1 2); d 1.817, 50.20°, I = 17, (2 3 3); d 1.647, 55.82°, I = 18, (4 3 1)